LaGdC4: simulated powder diffractogram (Cu Kα (λ = 1.5418 Å)), based on a cell relaxed with GGA-PBE.
Peak positions follow from Bragg's law for the DFT cell and can differ from measured ones.

Structure:
```
LaGdC4
1.0
2.7265 -3.2244 0.0000
2.7265 3.2244 0.0000
0.0000 0.0000 5.4482
La Gd C
1 1 4
direct
0.0000 0.0000 0.0000
0.5000 0.5000 0.5000
0.1011 0.8989 0.5000
0.3996 0.6004 0.0000
0.6004 0.3996 0.0000
0.8989 0.1011 0.5000
```

Most intense lines, 5° ≤ 2θ ≤ 70°, by angle:
- d = 3.308 Å, I 100
- d = 3.224 Å, I 34
- d = 2.725 Å, I 52
- d = 2.081 Å, I 39
- d = 1.877 Å, I 29
- d = 1.665 Å, I 30
- d = 1.654 Å, I 19
- d = 1.345 Å, I 19

=====

U2N3: simulated powder diffractogram (Cu Kα (λ = 1.5418 Å)), based on a cell relaxed with GGA-PBE.
Peak positions follow from Bragg's law for the DFT cell and can differ from measured ones.

Structure:
```
U2N3
1.0
-5.3317 5.3317 5.3317
5.3317 -5.3317 5.3317
5.3317 5.3317 -5.3317
U N
16 24
direct
0.0000 0.0000 0.5000
0.0000 0.5000 0.0000
0.0214 0.7500 0.7714
0.2286 0.9786 0.2500
0.2500 0.2286 0.9786
0.2500 0.7286 0.4786
0.2714 0.5214 0.7500
0.4786 0.2500 0.7286
0.5000 0.0000 0.0000
0.5000 0.5000 0.5000
0.5214 0.7500 0.2714
0.7286 0.4786 0.2500
0.7500 0.2714 0.5214
0.7500 0.7714 0.0214
0.7714 0.0214 0.7500
0.9786 0.2500 0.2286
0.0035 0.0288 0.2662
0.0253 0.4965 0.7627
0.0288 0.2662 0.0035
0.2338 0.2626 0.7373
0.2374 0.4712 0.4747
0.2373 0.9747 0.5035
0.2626 0.7373 0.2338
0.2627 0.7662 0.7374
0.2662 0.0035 0.0288
0.4712 0.4747 0.2374
0.4747 0.2374 0.4712
0.4965 0.7627 0.0253
0.5035 0.2373 0.9747
0.5253 0.7626 0.5288
0.5288 0.5253 0.7626
0.7338 0.9965 0.9712
0.7373 0.2338 0.2626
0.7374 0.2627 0.7662
0.7627 0.0253 0.4965
0.7626 0.5288 0.5253
0.7662 0.7374 0.2627
0.9712 0.7338 0.9965
0.9747 0.5035 0.2373
0.9965 0.9712 0.7338
```

Most intense lines, 5° ≤ 2θ ≤ 70°, by angle:
- d = 4.353 Å, I 4
- d = 3.078 Å, I 100
- d = 2.666 Å, I 42
- d = 2.091 Å, I 4
- d = 1.885 Å, I 40
- d = 1.608 Å, I 40
- d = 1.572 Å, I 3
- d = 1.539 Å, I 10

=====

KMnCl3: simulated powder diffractogram (Cu Kα (λ = 1.5418 Å)), based on a cell relaxed with GGA-PBE.
Peak positions follow from Bragg's law for the DFT cell and can differ from measured ones.

Structure:
```
KMnCl3
1.0
7.1578 0.0000 0.0000
0.0000 10.0801 0.0000
0.0000 0.0000 7.0277
K Mn Cl
4 4 12
direct
0.0496 0.2500 0.0127
0.4504 0.7500 0.5127
0.5496 0.2500 0.4873
0.9504 0.7500 0.9873
0.0000 0.0000 0.5000
0.0000 0.5000 0.5000
0.5000 0.0000 0.0000
0.5000 0.5000 0.0000
0.0064 0.7500 0.4395
0.2080 0.5309 0.7928
0.2080 0.9691 0.7928
0.2920 0.0309 0.2928
0.2920 0.4691 0.2928
0.4936 0.2500 0.9395
0.5064 0.7500 0.0605
0.7080 0.5309 0.7072
0.7080 0.9691 0.7072
0.7920 0.0309 0.2072
0.7920 0.4691 0.2072
0.9936 0.2500 0.5605
```

Most intense lines, 5° ≤ 2θ ≤ 70°, by angle:
- d = 5.023 Å, I 74
- d = 3.555 Å, I 60
- d = 2.918 Å, I 28
- d = 2.520 Å, I 61
- d = 2.507 Å, I 100
- d = 2.061 Å, I 27
- d = 2.037 Å, I 31
- d = 1.777 Å, I 52